Record 1
Simulated powder XRD pattern of MgTi4O9 for Cu Kα X-rays, from a DFT-relaxed cell (GGA-PBE, the Materials Project).

Structural model:
```
MgTi4O9
1.0
8.4504 0.0000 0.0000
0.0000 8.4504 0.0000
0.0000 0.0000 4.9782
Mg Ti O
2 8 18
Cartesian
2.1126 2.1126 0.5116
6.3378 6.3378 4.4666
0.2584 5.5836 1.8608
1.3584 8.1920 3.1174
2.8668 4.4837 3.1174
3.9668 7.0920 1.8608
4.4837 1.3584 3.1174
5.5836 3.9668 1.8608
7.0920 0.2584 1.8608
8.1920 2.8668 3.1174
0.2009 2.6570 4.7312
0.3728 1.2136 2.2967
1.2136 3.8524 2.2967
1.5682 0.2009 4.7312
2.1126 6.3378 2.4891
2.6570 4.0243 4.7312
3.0116 0.3728 2.2967
3.8524 3.0116 2.2967
4.0243 1.5682 4.7312
4.4261 6.8822 0.2470
4.5980 5.4388 2.6815
5.4388 8.0776 2.6815
5.7934 4.4261 0.2470
6.3378 2.1126 2.4891
6.8822 8.2495 0.2470
7.2368 4.5980 2.6815
8.0776 7.2368 2.6815
8.2495 5.7934 0.2470
```

Principal peaks in the range 10° ≤ 2θ ≤ 90°, low angle first:
2θ (°)  I (rel.)
17.82  62
23.26  21
29.68  100
29.91  16
33.54  50
43.54  28
48.16  35
51.75  23
57.60  19
60.98  14
66.32  17
66.92  15

***

Record 2
Simulated powder XRD pattern of CeMgHg2 for Cu Kα X-rays, from a DFT-relaxed cell (GGA-PBE, the Materials Project).

Structural model:
```
CeMgHg2
1.0
0.0000 3.6667 3.6667
3.6667 0.0000 3.6667
3.6667 3.6667 0.0000
Ce Mg Hg
1 1 2
Cartesian
0.0000 0.0000 0.0000
3.6667 3.6667 3.6667
1.8334 1.8334 1.8334
5.5000 5.5000 5.5000
```

Principal peaks in the range 10° ≤ 2θ ≤ 90°, low angle first:
2θ (°)  I (rel.)
20.98  9
24.27  21
34.60  100
40.81  5
42.71  7
49.73  18
56.09  9
62.00  38
72.98  12
78.21  5
83.34  17
88.42  3

***

Record 3
Simulated powder XRD pattern of ReP3 for Cu Kα X-rays, from a DFT-relaxed cell (GGA-PBE, the Materials Project).

Structural model:
```
ReP3
1.0
0.0000 3.0065 3.0065
3.0065 0.0000 3.0065
3.0065 3.0065 0.0000
Re P
1 3
Cartesian
0.0000 0.0000 0.0000
1.5032 1.5032 1.5032
3.0065 3.0065 3.0065
4.5097 4.5097 4.5097
```

Principal peaks in the range 10° ≤ 2θ ≤ 90°, low angle first:
2θ (°)  I (rel.)
25.66  78
29.72  41
42.52  100
50.33  40
52.74  12
61.71  16
67.95  16
69.97  15
77.82  34
83.55  13

***

Record 4
Simulated powder XRD pattern of Tl2SbF5 for Cu Kα X-rays, from a DFT-relaxed cell (GGA-PBE, the Materials Project).

Structural model:
```
Tl2SbF5
1.0
3.2830 -7.2547 0.0000
3.2830 7.2547 0.0000
0.0000 0.0000 6.8465
Tl Sb F
4 2 10
Cartesian
3.2830 6.2432 5.1349
3.2830 3.6050 1.7116
3.2830 -3.6050 5.1349
3.2830 -6.2432 1.7116
3.2830 1.3567 5.1349
3.2830 -1.3567 1.7116
1.7822 1.7219 3.6715
1.7822 1.7219 6.5983
3.2830 3.3547 5.1349
1.7822 -1.7219 0.2482
1.7822 -1.7219 3.1750
4.7839 1.7219 3.6715
4.7839 1.7219 6.5983
3.2830 -3.3547 1.7116
4.7839 -1.7219 0.2482
4.7839 -1.7219 3.1750
```

Principal peaks in the range 10° ≤ 2θ ≤ 90°, low angle first:
2θ (°)  I (rel.)
26.03  23
26.33  100
27.16  20
37.18  11
37.97  29
45.95  11
46.10  22
46.65  10
47.49  20
54.20  15
61.78  10
73.30  10

***

Record 5
Simulated powder XRD pattern of HoBrO for Cu Kα X-rays, from a DFT-relaxed cell (GGA-PBE, the Materials Project).

Structural model:
```
HoBrO
1.0
3.8329 0.0000 0.0000
0.0000 3.8329 0.0000
0.0000 0.0000 8.8777
Ho Br O
2 2 2
Cartesian
0.9582 0.9582 1.1242
2.8747 2.8747 7.7535
0.9582 0.9582 6.0621
2.8747 2.8747 2.8157
0.9582 2.8747 0.0000
2.8747 0.9582 0.0000
```

Principal peaks in the range 10° ≤ 2θ ≤ 90°, low angle first:
2θ (°)  I (rel.)
30.82  100
33.05  43
34.60  6
38.43  20
47.44  20
53.35  15
57.65  34
62.59  19
64.21  6
69.32  9
77.79  7
78.99  7

***

Record 6
Simulated powder XRD pattern of Sr2HoTaO6 for Cu Kα X-rays, from a DFT-relaxed cell (GGA-PBE, the Materials Project).

Structural model:
```
Sr2HoTaO6
1.0
5.8249 0.0000 0.0000
0.0000 5.9515 0.0000
-5.8056 0.0000 8.3082
Sr Ho Ta O
4 2 2 12
Cartesian
-0.0564 0.2489 2.0938
-2.9592 2.7269 6.2479
2.9786 3.2247 2.0603
0.0758 5.7026 6.2144
2.9125 0.0000 0.0000
0.0097 2.9758 4.1541
-2.9028 0.0000 4.1541
0.0000 2.9758 0.0000
-4.6623 1.3470 7.9281
-1.7595 1.6287 3.7740
-4.2021 4.1515 7.9817
-1.2993 4.7758 3.8276
-2.4346 0.1515 6.1102
0.4682 2.8243 1.9561
-0.4488 3.1273 6.3520
2.4540 5.8001 2.1979
1.3187 1.1758 4.4805
4.2215 1.8000 0.3265
1.7789 4.3228 4.5341
4.6817 4.6045 0.3801
```

Principal peaks in the range 10° ≤ 2θ ≤ 90°, low angle first:
2θ (°)  I (rel.)
21.36  30
30.03  24
30.40  100
30.70  24
43.51  39
48.96  8
53.55  18
53.83  11
54.33  16
54.44  11
71.71  7
71.85  9

***

Record 7
Simulated powder XRD pattern of Na2Ti2Si2O11 for Cu Kα X-rays, from a DFT-relaxed cell (GGA-PBE, the Materials Project).

Structural model:
```
Na2Ti2Si2O11
1.0
5.4050 0.0000 0.0000
-0.0338 7.0943 0.0000
-1.5932 -0.7714 12.2257
Na Ti Si O
4 4 4 22
Cartesian
0.0000 0.0000 0.0000
-0.7673 0.9996 8.7675
1.9287 2.6317 8.4655
2.7610 4.3864 4.9955
-0.9263 4.5587 8.5636
2.0672 6.1539 8.6607
2.7673 0.7515 5.6958
3.8347 2.8687 11.5359
-0.0221 2.8539 5.8946
0.1097 5.9150 5.7575
1.0478 4.7964 11.4704
1.1972 0.7629 11.3214
0.0658 4.3544 5.1958
-0.1335 3.0651 7.5334
0.7865 0.8217 2.4687
0.2106 5.8797 7.4384
-0.3067 4.1861 12.1319
-0.1914 1.5037 11.6920
1.3694 2.1013 5.5583
1.4862 6.5060 5.1277
0.9235 4.8277 9.7903
1.9734 1.0377 2.7108
1.2870 0.5526 9.6815
1.1300 -0.7356 12.0248
2.7262 0.4994 7.4760
3.4228 3.6251 2.4877
2.9366 4.7073 7.5953
2.4402 4.1348 11.9551
2.5813 1.4247 11.8492
4.0042 2.2021 5.3379
4.1413 6.5995 5.2507
3.6008 6.0049 9.6348
4.6065 3.3557 2.2872
3.8785 3.1201 9.7560
```

Principal peaks in the range 10° ≤ 2θ ≤ 90°, low angle first:
2θ (°)  I (rel.)
14.49  56
14.85  29
20.66  32
23.12  32
24.51  31
29.22  100
30.83  38
32.15  50
33.27  30
35.20  33
35.41  22
51.69  19